LaPmSm2P4: theoretical powder XRD pattern (Cu Kα), based on a structure optimized by DFT (PBE).
Peak positions follow from Bragg's law for the DFT cell and can differ from measured ones.

Structural model:
Cell lengths 5.876, 5.876, 11.761 Å; angles 90.00, 90.00, 90.00 degrees
Space group I4/mmm (No. 139)
Inequivalent atoms, fractional coordinates:
La 0.000 0.000 0.000 (multiplicity 2)
Pm 0.000 0.000 0.500 (multiplicity 2)
Sm 0.000 0.500 0.250 (multiplicity 4)
P 0.000 0.000 0.252 (multiplicity 4)
P 0.000 0.500 0.000 (multiplicity 4)

The 6 most intense peaks (2θ = 10–80°), in order of rising 2θ:
2theta	I (rel.)	h k l
26.3	80	1 1 2
30.4	100	2 0 0
43.6	73	2 2 0
51.6	40	3 1 2
54.0	26	2 2 4
71.8	33	4 2 0


Sm5Pb2O12: theoretical powder XRD pattern (Cu Kα), based on a structure optimized by DFT (PBE).
Peak positions follow from Bragg's law for the DFT cell and can differ from measured ones.

Structural model:
Cell lengths 12.914, 6.266, 7.625 Å; angles 90.00, 107.55, 90.00 degrees
Space group C2/m (No. 12)
Inequivalent atoms, fractional coordinates:
Sm 0.000 0.000 0.000 (multiplicity 2)
Sm 0.196 0.500 0.336 (multiplicity 4)
Sm 0.200 0.500 0.863 (multiplicity 4)
Pb 0.000 0.245 0.500 (multiplicity 4)
O 0.002 0.500 0.297 (multiplicity 4)
O 0.003 0.000 0.302 (multiplicity 4)
O 0.154 0.249 0.071 (multiplicity 8)
O 0.174 0.272 0.594 (multiplicity 8)

The 6 most intense peaks (2θ = 10–80°), in order of rising 2θ:
2theta	I (rel.)	h k l
26.0	92	3 1 0
27.4	100	1 1 -2
31.1	54	0 2 1
31.9	45	4 0 -2
32.1	87	2 0 2
37.9	50	2 2 -2


MgH4Pd7: theoretical powder XRD pattern (Cu Kα), based on a structure optimized by DFT (PBE).
Peak positions follow from Bragg's law for the DFT cell and can differ from measured ones.

Structural model:
Cell lengths 10.352, 4.851, 7.920 Å; angles 90.00, 129.87, 90.00 degrees
Space group C2/m (No. 12)
Inequivalent atoms, fractional coordinates:
Mg 0.000 0.000 0.000 (multiplicity 2)
H 0.016 0.500 0.234 (multiplicity 4)
H 0.139 0.000 0.455 (multiplicity 4)
Pd 0.000 0.500 0.000 (multiplicity 2)
Pd 0.160 0.000 0.686 (multiplicity 4)
Pd 0.179 0.500 0.517 (multiplicity 4)
Pd 0.197 0.500 0.877 (multiplicity 4)

The 6 most intense peaks (2θ = 10–80°), in order of rising 2θ:
2theta	I (rel.)	h k l
34.0	35	2 0 1
37.1	76	0 2 0
37.6	42	4 0 -1
39.2	100	3 1 -3
42.4	50	1 1 2
42.6	32	1 1 -3